(1)
Structure and theoretical powder diffraction line list of SmYI2N (the GGA-PBE geometry in OQMD; Cu Kα X-rays).

Largest 6 diffraction maxima, low angle first, 2θ = 5–70°:
10.915 Å, 2θ 8.10, I 23.3
3.307 Å, 2θ 26.96, I 28.9
2.828 Å, 2θ 31.64, I 100.0
2.447 Å, 2θ 36.73, I 24.2
1.909 Å, 2θ 47.63, I 27.2
1.582 Å, 2θ 58.31, I 17.1

Cell and atoms:
Cell lengths 3.8182, 3.8182, 10.9150 Å; angles 90.00, 90.00, 120.00 degrees
Fractional coordinates of all 5 atoms:
1 Sm 0.0000 0.0000 0.0000
2 Y 0.6667 0.3333 0.7633
3 I 0.0000 0.0000 0.5659
4 I 0.6667 0.3333 0.2033
5 N 0.3333 0.6667 0.8746

***

(2)
Structure and theoretical powder diffraction line list of TcSbO2F8 (the GGA-PBE geometry in OQMD; Cu Kα X-rays).

Largest 6 diffraction maxima, low angle first, 2θ = 5–70°:
4.635 Å, 2θ 19.15, I 45.4
4.349 Å, 2θ 20.42, I 45.0
4.017 Å, 2θ 22.13, I 42.1
3.697 Å, 2θ 24.07, I 100.0
3.599 Å, 2θ 24.74, I 63.2
3.533 Å, 2θ 25.21, I 61.3

Cell and atoms:
Cell lengths 6.9008, 9.8894, 10.7820 Å; angles 90.00, 126.23, 90.00 degrees
Fractional coordinates of all 48 atoms:
1 Tc 0.0048 0.1706 0.3444
2 Tc 0.0048 0.3294 0.8444
3 Tc 0.9952 0.6706 0.1556
4 Tc 0.9952 0.8294 0.6556
5 Sb 0.3993 0.5142 0.6832
6 Sb 0.3993 0.9858 0.1832
7 Sb 0.6007 0.0142 0.8168
8 Sb 0.6007 0.4858 0.3168
9 O 0.0508 0.0132 0.3101
10 O 0.0508 0.4868 0.8101
11 O 0.2781 0.2410 0.4457
12 O 0.2781 0.2590 0.9457
13 O 0.7219 0.7410 0.0543
14 O 0.7219 0.7590 0.5543
15 O 0.9492 0.5132 0.1899
16 O 0.9492 0.9868 0.6899
17 F 0.0249 0.6314 0.0004
18 F 0.0249 0.8686 0.5004
19 F 0.1415 0.7483 0.8445
20 F 0.1415 0.7517 0.3445
21 F 0.1568 0.6464 0.6377
22 F 0.1568 0.8536 0.1377
23 F 0.1844 0.1230 0.1508
24 F 0.1844 0.3770 0.6508
25 F 0.2753 0.5077 0.4740
26 F 0.2753 0.9923 0.9740
27 F 0.3806 0.6304 0.2796
28 F 0.3806 0.8696 0.7796
29 F 0.3842 0.1506 0.7829
30 F 0.3842 0.3494 0.2829
31 F 0.4698 0.0167 0.6060
32 F 0.4698 0.4833 0.1060
33 F 0.5302 0.5167 0.8940
34 F 0.5302 0.9833 0.3940
35 F 0.6158 0.6506 0.7171
36 F 0.6158 0.8494 0.2171
37 F 0.6194 0.1304 0.2204
38 F 0.6194 0.3696 0.7204
39 F 0.7247 0.0077 0.0260
40 F 0.7247 0.4923 0.5260
41 F 0.8156 0.6230 0.3492
42 F 0.8156 0.8770 0.8492
43 F 0.8432 0.1464 0.8623
44 F 0.8432 0.3536 0.3623
45 F 0.8585 0.2483 0.6555
46 F 0.8585 0.2517 0.1555
47 F 0.9751 0.1314 0.4996
48 F 0.9751 0.3686 0.9996

***

(3)
Structure and theoretical powder diffraction line list of Li3NbPb2N4 (the GGA-PBE geometry in OQMD; Cu Kα X-rays).

Largest 6 diffraction maxima, low angle first, 2θ = 5–70°:
4.830 Å, 2θ 18.37, I 88.9
3.916 Å, 2θ 22.71, I 100.0
3.051 Å, 2θ 29.27, I 76.5
2.992 Å, 2θ 29.86, I 94.2
2.773 Å, 2θ 32.28, I 55.9
2.734 Å, 2θ 32.76, I 75.6

Cell and atoms:
Cell lengths 6.0983, 6.0983, 10.9426 Å; angles 115.27, 115.27, 54.77 degrees
Fractional coordinates of all 20 atoms:
1 Li 0.0918 0.1693 0.0622
2 Li 0.1086 0.8914 0.7500
3 Li 0.1693 0.0918 0.5622
4 Li 0.8307 0.9082 0.4378
5 Li 0.8914 0.1086 0.2500
6 Li 0.9082 0.8307 0.9378
7 Nb 0.3966 0.6034 0.2500
8 Nb 0.6034 0.3966 0.7500
9 Pb 0.2622 0.3532 0.4080
10 Pb 0.3532 0.2622 0.9080
11 Pb 0.6468 0.7378 0.0920
12 Pb 0.7378 0.6468 0.5920
13 N 0.1672 0.7835 0.3818
14 N 0.2165 0.8328 0.1182
15 N 0.2260 0.4528 0.6413
16 N 0.4528 0.2260 0.1413
17 N 0.5472 0.7740 0.8587
18 N 0.7740 0.5472 0.3587
19 N 0.7835 0.1672 0.8818
20 N 0.8328 0.2165 0.6182

***

Number 1 is which compound? SmYI2N

***

Repeat the third record exactly.
Structure and theoretical powder diffraction line list of Li3NbPb2N4 (the GGA-PBE geometry in OQMD; Cu Kα X-rays).

Largest 6 diffraction maxima, low angle first, 2θ = 5–70°:
4.830 Å, 2θ 18.37, I 88.9
3.916 Å, 2θ 22.71, I 100.0
3.051 Å, 2θ 29.27, I 76.5
2.992 Å, 2θ 29.86, I 94.2
2.773 Å, 2θ 32.28, I 55.9
2.734 Å, 2θ 32.76, I 75.6

Cell and atoms:
Cell lengths 6.0983, 6.0983, 10.9426 Å; angles 115.27, 115.27, 54.77 degrees
Fractional coordinates of all 20 atoms:
1 Li 0.0918 0.1693 0.0622
2 Li 0.1086 0.8914 0.7500
3 Li 0.1693 0.0918 0.5622
4 Li 0.8307 0.9082 0.4378
5 Li 0.8914 0.1086 0.2500
6 Li 0.9082 0.8307 0.9378
7 Nb 0.3966 0.6034 0.2500
8 Nb 0.6034 0.3966 0.7500
9 Pb 0.2622 0.3532 0.4080
10 Pb 0.3532 0.2622 0.9080
11 Pb 0.6468 0.7378 0.0920
12 Pb 0.7378 0.6468 0.5920
13 N 0.1672 0.7835 0.3818
14 N 0.2165 0.8328 0.1182
15 N 0.2260 0.4528 0.6413
16 N 0.4528 0.2260 0.1413
17 N 0.5472 0.7740 0.8587
18 N 0.7740 0.5472 0.3587
19 N 0.7835 0.1672 0.8818
20 N 0.8328 0.2165 0.6182